The following is a theoretical XRD peak list of Zr3C4. It was derived from a cell relaxed with PBE, using Cu Ka.

The 6 most intense peaks (2θ = 10–90°), by angle:
2θ/deg, I (rel.), hkl
31.56, 100.0, 1 0 3
33.22, 31.1, 0 0 6
38.20, 53.5, 1 1 0
51.51, 33.8, 1 1 6
55.13, 17.2, 2 0 0
64.93, 25.7, 2 1 3

Atomic structure:
Lattice parameters (Å, degrees): 3.332 3.332 16.180 90.00 90.00 90.00
Element x y z (fractional)
Zr (0.000, 0.000, 0.000)
Zr (0.000, 0.000, 0.322)
Zr (0.000, 0.000, 0.678)
Zr (0.500, 0.500, 0.178)
Zr (0.500, 0.500, 0.500)
Zr (0.500, 0.500, 0.822)
C (0.000, 0.000, 0.175)
C (0.000, 0.000, 0.459)
C (0.000, 0.000, 0.541)
C (0.000, 0.000, 0.825)
C (0.500, 0.500, 0.041)
C (0.500, 0.500, 0.325)
C (0.500, 0.500, 0.675)
C (0.500, 0.500, 0.959)